This entry pairs a crystal structure of Rb2As2Se6O with its calculated XRD peak list. Radiation: a wavelength of 1.5418 Å. Structure: a DFT-relaxed cell (PBE, the Materials Project).
Lines closer than 0.1° are merged.

Principal peaks in the range 10° ≤ 2θ ≤ 90°, sorted by position:
two_theta	intensity
25.21	100
25.62	34
29.20	75
31.40	67
37.05	37
43.41	47

Structure:
Unit cell a=11.695 b=11.695 c=12.238 alpha=120.13 beta=120.13 gamma=28.20
Atoms (fractional coordinates):
Rb  0.063  0.095  0.449
Rb  0.095  0.063  0.949
Rb  0.905  0.937  0.051
Rb  0.937  0.905  0.551
As  0.279  0.360  0.715
As  0.360  0.279  0.215
As  0.640  0.721  0.785
As  0.721  0.640  0.285
Se  0.152  0.217  0.313
Se  0.217  0.152  0.813
Se  0.290  0.325  0.905
Se  0.325  0.290  0.405
Se  0.424  0.466  0.823
Se  0.466  0.424  0.323
Se  0.534  0.576  0.677
Se  0.576  0.534  0.177
Se  0.675  0.710  0.595
Se  0.710  0.675  0.095
Se  0.783  0.848  0.187
Se  0.848  0.783  0.687
O  0.377  0.623  0.250
O  0.623  0.377  0.750

This entry pairs a crystal structure of Rb4U3As2O16 with its calculated XRD peak list. Radiation: a wavelength of 1.5418 Å. Structure: a DFT-relaxed cell (PBE, the Materials Project).
Lines closer than 0.1° are merged.

Principal peaks in the range 10° ≤ 2θ ≤ 90°, sorted by position:
two_theta	intensity
12.26	100
25.18	66
26.84	67
27.61	58
28.17	80
30.75	63

Structure:
Unit cell a=7.168 b=17.652 c=7.222 alpha=90.00 beta=90.92 gamma=90.00
Atoms (fractional coordinates):
Rb  0.000  0.000  0.000
Rb  0.000  0.500  0.000
Rb  0.042  0.250  0.947
Rb  0.463  0.615  0.106
Rb  0.463  0.885  0.106
Rb  0.537  0.115  0.894
Rb  0.537  0.385  0.894
Rb  0.958  0.750  0.053
U  0.219  0.144  0.423
U  0.219  0.356  0.423
U  0.282  0.750  0.579
U  0.718  0.250  0.421
U  0.781  0.644  0.577
U  0.781  0.856  0.577
As  0.284  0.554  0.600
As  0.284  0.946  0.600
As  0.716  0.054  0.400
As  0.716  0.446  0.400
O  0.037  0.250  0.399
O  0.102  0.618  0.620
O  0.102  0.882  0.620
O  0.195  0.145  0.678
O  0.195  0.355  0.678
O  0.240  0.137  0.167
O  0.240  0.363  0.167
O  0.241  0.010  0.424
O  0.241  0.490  0.424
O  0.260  0.750  0.323
O  0.306  0.750  0.834
O  0.333  0.517  0.810
O  0.333  0.983  0.810
O  0.401  0.250  0.431
O  0.446  0.621  0.529
O  0.446  0.879  0.529
O  0.554  0.121  0.471
O  0.554  0.379  0.471
O  0.599  0.750  0.569
O  0.667  0.017  0.190
O  0.667  0.483  0.190
O  0.694  0.250  0.166
O  0.740  0.250  0.677
O  0.759  0.510  0.576
O  0.759  0.990  0.576
O  0.760  0.637  0.833
O  0.760  0.863  0.833
O  0.805  0.645  0.322
O  0.805  0.855  0.322
O  0.898  0.118  0.380
O  0.898  0.382  0.380
O  0.963  0.750  0.601

This entry pairs a crystal structure of RbZr2As3O12 with its calculated XRD peak list. Radiation: a wavelength of 1.5418 Å. Structure: a DFT-relaxed cell (PBE, the Materials Project).
Lines closer than 0.1° are merged.

Principal peaks in the range 10° ≤ 2θ ≤ 90°, sorted by position:
two_theta	intensity
19.39	38
22.04	90
28.59	100
33.92	36
44.94	31
55.32	22

Structure:
Unit cell a=10.041 b=10.041 c=10.041 alpha=54.24 beta=54.24 gamma=54.24
Atoms (fractional coordinates):
Rb  0.000  0.000  0.000
Rb  0.500  0.500  0.500
Zr  0.150  0.150  0.150
Zr  0.350  0.350  0.350
Zr  0.650  0.650  0.650
Zr  0.850  0.850  0.850
As  0.031  0.750  0.469
As  0.250  0.531  0.969
As  0.469  0.031  0.750
As  0.531  0.969  0.250
As  0.750  0.469  0.031
As  0.969  0.250  0.531
O  0.014  0.739  0.654
O  0.066  0.706  0.929
O  0.071  0.934  0.294
O  0.154  0.239  0.514
O  0.206  0.566  0.429
O  0.239  0.514  0.154
O  0.261  0.346  0.986
O  0.294  0.071  0.934
O  0.346  0.986  0.261
O  0.429  0.206  0.566
O  0.434  0.571  0.794
O  0.486  0.846  0.761
O  0.514  0.154  0.239
O  0.566  0.429  0.206
O  0.571  0.794  0.434
O  0.654  0.014  0.739
O  0.706  0.929  0.066
O  0.739  0.654  0.014
O  0.761  0.486  0.846
O  0.794  0.434  0.571
O  0.846  0.761  0.486
O  0.929  0.066  0.706
O  0.934  0.294  0.071
O  0.986  0.261  0.346

This entry pairs a crystal structure of As2S2O9 with its calculated XRD peak list. Radiation: a wavelength of 1.5418 Å. Structure: a DFT-relaxed cell (PBE, the Materials Project).
Lines closer than 0.1° are merged.

Principal peaks in the range 10° ≤ 2θ ≤ 90°, sorted by position:
two_theta	intensity
16.44	100
17.21	58
26.07	53
26.46	48
31.78	55
33.56	43

Structure:
Unit cell a=6.865 b=6.868 c=17.480 alpha=90.00 beta=95.26 gamma=90.00
Atoms (fractional coordinates):
As  0.000  0.015  0.000
As  0.000  0.985  0.500
As  0.110  0.126  0.334
As  0.110  0.874  0.834
As  0.480  0.370  0.743
As  0.480  0.630  0.243
As  0.592  0.485  0.077
As  0.592  0.515  0.577
S  0.021  0.325  0.863
S  0.021  0.675  0.363
S  0.146  0.477  0.608
S  0.146  0.523  0.108
S  0.446  0.030  0.467
S  0.446  0.970  0.967
S  0.571  0.178  0.216
S  0.571  0.822  0.716
O  0.006  0.340  0.572
O  0.006  0.660  0.072
O  0.008  0.261  0.948
O  0.008  0.739  0.448
O  0.073  0.331  0.122
O  0.073  0.669  0.622
O  0.116  0.151  0.823
O  0.116  0.849  0.323
O  0.160  0.483  0.863
O  0.160  0.517  0.363
O  0.230  0.383  0.685
O  0.230  0.617  0.185
O  0.273  0.012  0.520
O  0.273  0.988  0.020
O  0.319  0.490  0.556
O  0.319  0.510  0.056
O  0.359  0.135  0.393
O  0.359  0.865  0.893
O  0.423  0.028  0.218
O  0.423  0.972  0.718
O  0.495  0.357  0.260
O  0.495  0.643  0.760
O  0.517  0.160  0.949
O  0.517  0.840  0.449
O  0.577  0.242  0.131
O  0.577  0.758  0.631
O  0.587  0.161  0.507
O  0.587  0.839  0.007
O  0.623  0.367  0.662
O  0.623  0.633  0.162
O  0.766  0.129  0.247
O  0.766  0.871  0.747
O  0.826  0.361  0.828
O  0.826  0.639  0.328
O  0.965  0.129  0.414
O  0.965  0.871  0.914

This entry pairs a crystal structure of As2S2O9 with its calculated XRD peak list. Radiation: a wavelength of 1.5418 Å. Structure: a DFT-relaxed cell (PBE, the Materials Project).
Lines closer than 0.1° are merged.

Principal peaks in the range 10° ≤ 2θ ≤ 90°, sorted by position:
two_theta	intensity
15.60	42
16.57	100
17.35	62
26.17	54
26.86	46
32.08	54

Structure:
Unit cell a=6.851 b=6.763 c=17.590 alpha=90.00 beta=96.25 gamma=90.00
Atoms (fractional coordinates):
As  0.185  0.115  0.204
As  0.185  0.385  0.704
As  0.297  0.238  0.540
As  0.297  0.262  0.040
As  0.703  0.738  0.960
As  0.703  0.762  0.460
As  0.815  0.615  0.296
As  0.815  0.885  0.796
S  0.149  0.720  0.431
S  0.149  0.780  0.931
S  0.279  0.572  0.176
S  0.279  0.928  0.676
S  0.721  0.072  0.324
S  0.721  0.428  0.824
S  0.851  0.220  0.069
S  0.851  0.280  0.569
O  0.023  0.230  0.017
O  0.023  0.270  0.517
O  0.066  0.612  0.357
O  0.066  0.888  0.857
O  0.148  0.739  0.179
O  0.148  0.761  0.679
O  0.180  0.101  0.716
O  0.180  0.399  0.216
O  0.213  0.583  0.914
O  0.213  0.917  0.414
O  0.281  0.513  0.091
O  0.281  0.987  0.591
O  0.297  0.591  0.470
O  0.297  0.909  0.970
O  0.330  0.113  0.125
O  0.330  0.387  0.625
O  0.479  0.599  0.211
O  0.479  0.901  0.711
O  0.521  0.099  0.289
O  0.521  0.401  0.789
O  0.670  0.613  0.375
O  0.670  0.887  0.875
O  0.703  0.091  0.030
O  0.703  0.409  0.530
O  0.719  0.013  0.409
O  0.719  0.487  0.909
O  0.787  0.083  0.586
O  0.787  0.417  0.086
O  0.820  0.601  0.784
O  0.820  0.899  0.284
O  0.852  0.239  0.321
O  0.852  0.261  0.821
O  0.934  0.112  0.143
O  0.934  0.388  0.643
O  0.977  0.730  0.483
O  0.977  0.770  0.983

This entry pairs a crystal structure of As2SO6 with its calculated XRD peak list. Radiation: a wavelength of 1.5418 Å. Structure: a DFT-relaxed cell (PBE, the Materials Project).
Lines closer than 0.1° are merged.

Principal peaks in the range 10° ≤ 2θ ≤ 90°, sorted by position:
two_theta	intensity
17.46	74
23.92	43
26.53	100
29.06	63
29.77	47
36.14	31

Structure:
Unit cell a=4.857 b=11.577 c=5.079 alpha=90.00 beta=90.00 gamma=90.00
Atoms (fractional coordinates):
As  0.240  0.191  0.169
As  0.260  0.691  0.831
As  0.740  0.309  0.831
As  0.760  0.809  0.169
S  0.000  0.500  0.204
S  0.500  0.000  0.796
O  0.086  0.259  0.879
O  0.114  0.405  0.357
O  0.228  0.544  0.016
O  0.272  0.044  0.984
O  0.386  0.905  0.643
O  0.414  0.759  0.121
O  0.586  0.241  0.121
O  0.614  0.095  0.643
O  0.728  0.956  0.984
O  0.772  0.456  0.016
O  0.886  0.595  0.357
O  0.914  0.741  0.879